[1]
K2CaHg10: theoretical powder diffractogram (a wavelength of 1.5418 Å), based on a crystal structure in Alexandria, relaxed with GGA-PBE.
Peak positions follow from Bragg's law for the DFT cell and can differ from measured ones.

Structure:
```
data_K2CaHg10
_space_group_name_H-M_alt 'P 1'
_space_group_IT_number 1
_space_group_name_Hall 'P 1'
_cell_length_a 11.264
_cell_length_b 12.230
_cell_length_c 6.868
_cell_angle_alpha 90.00
_cell_angle_beta 90.00
_cell_angle_gamma 90.00
loop_
_atom_site_label
_atom_site_type_symbol
_atom_site_fract_x
_atom_site_fract_y
_atom_site_fract_z
K1 K 0.162 0.099 0.000
K2 K 0.338 0.599 0.000
K3 K 0.662 0.401 0.000
K4 K 0.838 0.901 0.000
Ca1 Ca 0.000 0.500 0.500
Ca2 Ca 0.500 0.000 0.500
Hg1 Hg 0.039 0.884 0.500
Hg2 Hg 0.059 0.694 0.214
Hg3 Hg 0.059 0.694 0.786
Hg4 Hg 0.191 0.313 0.500
Hg5 Hg 0.235 0.068 0.500
Hg6 Hg 0.265 0.568 0.500
Hg7 Hg 0.309 0.813 0.500
Hg8 Hg 0.441 0.194 0.214
Hg9 Hg 0.441 0.194 0.786
Hg10 Hg 0.461 0.384 0.500
Hg11 Hg 0.539 0.616 0.500
Hg12 Hg 0.559 0.806 0.214
Hg13 Hg 0.559 0.806 0.786
Hg14 Hg 0.691 0.187 0.500
Hg15 Hg 0.735 0.432 0.500
Hg16 Hg 0.765 0.932 0.500
Hg17 Hg 0.809 0.687 0.500
Hg18 Hg 0.941 0.306 0.214
Hg19 Hg 0.941 0.306 0.786
Hg20 Hg 0.961 0.116 0.500
```

Main lines, by angle (15 to 90 degrees two-theta):
d 3.175, 2θ 28.11, rel. 48
d 2.932, 2θ 30.49, rel. 43
d 2.851, 2θ 31.38, rel. 46
d 2.744, 2θ 32.63, rel. 100
d 2.711, 2θ 33.04, rel. 56
d 2.560, 2θ 35.06, rel. 80
d 2.390, 2θ 37.63, rel. 57
d 2.371, 2θ 37.95, rel. 57
d 2.341, 2θ 38.46, rel. 45
d 2.238, 2θ 40.30, rel. 61

---

[2]
PrSm6Y5: theoretical powder diffractogram (a wavelength of 1.5418 Å), based on a crystal structure in Alexandria, relaxed with GGA-PBE.
Peak positions follow from Bragg's law for the DFT cell and can differ from measured ones.

Structure:
```
data_PrSm6Y5
_space_group_name_H-M_alt 'P 1'
_space_group_IT_number 1
_space_group_name_Hall 'P 1'
_cell_length_a 6.260
_cell_length_b 6.260
_cell_length_c 11.946
_cell_angle_alpha 95.00
_cell_angle_beta 95.00
_cell_angle_gamma 119.98
loop_
_atom_site_label
_atom_site_type_symbol
_atom_site_fract_x
_atom_site_fract_y
_atom_site_fract_z
Pr1 Pr 0.000 0.000 0.000
Sm1 Sm 0.083 0.417 0.252
Sm2 Sm 0.250 0.250 0.749
Sm3 Sm 0.417 0.083 0.252
Sm4 Sm 0.583 0.917 0.748
Sm5 Sm 0.750 0.750 0.251
Sm6 Sm 0.917 0.583 0.748
Y1 Y 0.167 0.833 0.500
Y2 Y 0.333 0.667 0.000
Y3 Y 0.500 0.500 0.500
Y4 Y 0.667 0.333 0.000
Y5 Y 0.833 0.167 0.500
```

Main lines, by angle (15 to 90 degrees two-theta):
d 2.950, 2θ 30.30, rel. 100
d 2.941, 2θ 30.40, rel. 33
d 2.553, 2θ 35.15, rel. 67
d 1.807, 2θ 50.50, rel. 24
d 1.803, 2θ 50.63, rel. 24
d 1.540, 2θ 60.07, rel. 42
d 1.537, 2θ 60.21, rel. 14
d 1.475, 2θ 63.02, rel. 12
d 1.173, 2θ 82.21, rel. 11
d 1.143, 2θ 84.85, rel. 11

---

Number 1 is which compound?
K2CaHg10